For Ti8CoNi2, the GGA-PBE geometry in Alexandria gives the theoretical powder X-ray diffraction pattern in this record (Cu Ka).
Peak positions follow from Bragg's law for the DFT cell and can differ from measured ones.

Atomic structure:
```
Ti8CoNi2
1.0
6.8264 -2.1551 0.0000
6.8264 2.1551 0.0000
-2.5187 0.0000 5.7111
Ti Co Ni
8 1 2
Cartesian
-0.2014 0.0000 1.5308 Ti
0.5411 0.0000 4.4101 Ti
3.1201 0.0000 3.1124 Ti
5.4468 0.0000 0.3401 Ti
5.6873 0.0000 5.3711 Ti
8.0140 0.0000 2.5988 Ti
10.5930 0.0000 1.3010 Ti
11.3356 0.0000 4.1804 Ti
5.5671 0.0000 2.8556 Co
2.1830 0.0000 0.8906 Ni
8.9511 0.0000 4.8205 Ni
```

The 6 most intense peaks (10° ≤ 2θ ≤ 80°), in order of falling intensity:
2θ/deg, I (rel.)
40.91, 100.0
39.07, 85.0
41.92, 69.1
42.75, 31.0
44.64, 21.5
41.79, 20.0

=====

For TbSi4Ni12, the GGA-PBE geometry in Alexandria gives the theoretical powder X-ray diffraction pattern in this record (Cu Ka).
Peak positions follow from Bragg's law for the DFT cell and can differ from measured ones.

Atomic structure:
```
TbSi4Ni12
1.0
-3.8804 3.8804 3.8804
3.8804 -3.8804 3.8804
3.8804 3.8804 -3.8804
Tb Si Ni
1 4 12
Cartesian
0.0000 0.0000 0.0000 Tb
1.9402 1.9402 -1.9402 Si
1.9402 -1.9402 1.9402 Si
-1.9402 1.9402 1.9402 Si
1.9402 1.9402 1.9402 Si
2.7195 0.0000 1.2361 Ni
5.0412 0.0000 1.2361 Ni
3.8804 2.6443 -1.1609 Ni
1.2361 2.7195 0.0000 Ni
2.6443 -1.1609 3.8804 Ni
3.8804 2.6443 1.1609 Ni
0.0000 1.2361 2.7195 Ni
1.2361 5.0412 0.0000 Ni
2.6443 1.1609 3.8804 Ni
0.0000 1.2361 5.0412 Ni
-1.1609 3.8804 2.6443 Ni
1.1609 3.8804 2.6443 Ni
```

The 6 most intense peaks (10° ≤ 2θ ≤ 80°), in order of falling intensity:
2θ/deg, I (rel.)
36.62, 100.0
43.64, 51.7
60.86, 34.0
58.24, 19.6
73.17, 11.6
28.17, 7.2

=====

For LuCN, the GGA-PBE geometry in Alexandria gives the theoretical powder X-ray diffraction pattern in this record (Cu Ka).
Peak positions follow from Bragg's law for the DFT cell and can differ from measured ones.

Atomic structure:
```
LuCN
1.0
3.4886 0.0000 0.0000
0.0000 3.4886 0.0000
0.0000 0.0000 5.9268
Lu C N
2 2 2
Cartesian
0.0000 0.0000 0.0000 Lu
1.7443 1.7443 2.9634 Lu
0.0000 0.0000 3.5913 C
1.7443 1.7443 0.6279 C
0.0000 0.0000 2.2996 N
1.7443 1.7443 5.2630 N
```

The 6 most intense peaks (10° ≤ 2θ ≤ 80°), in order of falling intensity:
2θ/deg, I (rel.)
29.72, 100.0
36.42, 48.4
47.99, 36.2
30.16, 32.6
53.29, 28.1
61.46, 28.0

=====

For LaTc2Ge2C, the GGA-PBE geometry in Alexandria gives the theoretical powder X-ray diffraction pattern in this record (Cu Ka).
Peak positions follow from Bragg's law for the DFT cell and can differ from measured ones.

Atomic structure:
```
LaTc2Ge2C
1.0
4.2168 0.0000 0.0000
0.0000 4.2168 0.0000
0.0000 0.0000 5.5686
La Tc Ge C
1 2 2 1
Cartesian
0.0000 0.0000 0.0000 La
0.0000 2.1084 2.7843 Tc
2.1084 0.0000 2.7843 Tc
2.1084 2.1084 1.2543 Ge
2.1084 2.1084 4.3143 Ge
0.0000 0.0000 2.7843 C
```

The 6 most intense peaks (10° ≤ 2θ ≤ 80°), in order of falling intensity:
2θ/deg, I (rel.)
34.11, 100.0
42.89, 53.1
38.76, 48.2
59.17, 27.2
72.95, 21.5
62.28, 17.1

=====

For Sm3Tm5Th2, the GGA-PBE geometry in Alexandria gives the theoretical powder X-ray diffraction pattern in this record (Cu Ka).
Peak positions follow from Bragg's law for the DFT cell and can differ from measured ones.

Atomic structure:
```
Sm3Tm5Th2
1.0
5.3336 -8.3726 0.0000
5.3336 8.3726 0.0000
-5.3241 0.0000 7.2767
Sm Tm Th
6 10 4
Cartesian
1.3470 2.0493 0.3085 Sm
1.3406 4.6241 5.4575 Sm
-1.3150 -2.0493 3.9468 Sm
6.6582 2.0493 3.3299 Sm
4.0026 -4.6241 1.8192 Sm
3.9962 -2.0493 6.9683 Sm
1.3406 7.8737 5.4575 Tm
-1.3484 1.8865 5.4569 Tm
4.0026 3.7410 1.8192 Tm
1.3136 -1.8865 1.8185 Tm
4.0026 0.5419 1.8192 Tm
1.3406 -0.5419 5.4575 Tm
4.0296 1.8865 5.4582 Tm
1.3406 -3.7410 5.4575 Tm
6.6916 -1.8865 1.8198 Tm
4.0026 -7.8737 1.8192 Tm
1.3476 2.0319 3.4217 Th
-1.3145 -2.0319 7.0600 Th
6.6577 2.0319 0.2167 Th
3.9956 -2.0319 3.8551 Th
```

The 6 most intense peaks (10° ≤ 2θ ≤ 80°), in order of falling intensity:
2θ/deg, I (rel.)
31.63, 100.0
29.78, 71.8
33.61, 42.2
36.33, 23.3
32.61, 21.2
63.61, 21.0

=====

For CaAcPr2As4, the GGA-PBE geometry in Alexandria gives the theoretical powder X-ray diffraction pattern in this record (Cu Ka).
Peak positions follow from Bragg's law for the DFT cell and can differ from measured ones.

Atomic structure:
```
CaAcPr2As4
1.0
6.1558 0.0000 0.0000
0.0000 6.1558 0.0000
0.0000 0.0000 12.3864
Ca Ac Pr As
2 2 4 8
Cartesian
0.0000 0.0000 0.0000 Ca
3.0779 3.0779 6.1932 Ca
0.0000 0.0000 6.1932 Ac
3.0779 3.0779 0.0000 Ac
0.0000 3.0779 3.0966 Pr
0.0000 3.0779 9.2898 Pr
3.0779 0.0000 3.0966 Pr
3.0779 0.0000 9.2898 Pr
0.0000 0.0000 3.0630 As
0.0000 0.0000 9.3233 As
0.0000 3.0779 0.0000 As
0.0000 3.0779 6.1932 As
3.0779 0.0000 0.0000 As
3.0779 0.0000 6.1932 As
3.0779 3.0779 3.1302 As
3.0779 3.0779 9.2562 As
```

The 6 most intense peaks (10° ≤ 2θ ≤ 80°), in order of falling intensity:
2θ/deg, I (rel.)
29.01, 100.0
41.36, 76.4
28.83, 50.8
51.31, 40.7
41.49, 37.9
68.07, 34.7

=====

For Ba2Mg16Ga, the GGA-PBE geometry in Alexandria gives the theoretical powder X-ray diffraction pattern in this record (Cu Ka).
Peak positions follow from Bragg's law for the DFT cell and can differ from measured ones.

Atomic structure:
```
Ba2Mg16Ga
1.0
5.2788 3.0477 5.1464
-5.2788 3.0477 5.1464
0.0000 -6.0955 5.1464
Ba Mg Ga
2 16 1
Cartesian
0.0000 0.0000 0.0000 Ba
0.0000 0.0000 5.1160 Ba
0.0000 -3.0465 2.7456 Mg
-2.6384 1.5233 2.7456 Mg
-2.6233 -1.5146 7.6913 Mg
0.0000 -3.0553 7.5063 Mg
-2.6460 1.5277 7.5063 Mg
-1.5497 -2.6847 10.2642 Mg
-3.0998 0.0003 10.2642 Mg
2.6384 1.5233 2.7456 Mg
2.6233 -1.5146 7.6913 Mg
0.0000 3.0291 7.6913 Mg
1.5497 -2.6847 10.2642 Mg
-1.5502 2.6844 10.2642 Mg
0.0000 0.0000 11.5979 Mg
2.6460 1.5277 7.5063 Mg
3.0999 0.0003 10.2642 Mg
1.5502 2.6844 10.2642 Mg
0.0000 0.0000 8.6758 Ga
```

The 6 most intense peaks (10° ≤ 2θ ≤ 80°), in order of falling intensity:
2θ/deg, I (rel.)
34.19, 100.0
24.15, 74.2
33.97, 74.0
29.30, 66.3
16.80, 64.2
34.86, 49.7

=====

For Er3ZrO6, the GGA-PBE geometry in Alexandria gives the theoretical powder X-ray diffraction pattern in this record (Cu Ka).
Peak positions follow from Bragg's law for the DFT cell and can differ from measured ones.

Atomic structure:
```
Er3ZrO6
1.0
4.7289 2.7302 3.7217
-4.7289 2.7302 3.7217
0.0000 -5.4605 3.7217
Er Zr O
6 2 12
Cartesian
-2.4861 -2.4273 5.0229 Er
-3.3451 0.9394 6.1421 Er
0.8591 -3.3667 6.1421 Er
-0.8591 3.3666 5.0229 Er
3.3451 -0.9394 5.0229 Er
2.4861 2.4273 6.1421 Er
0.0000 0.0000 0.0000 Zr
0.0000 0.0000 5.5825 Zr
-4.1440 -1.1871 6.1385 O
-1.0439 -4.1823 5.0265 O
-2.0329 -0.2340 4.6262 O
-3.1000 2.9953 5.0265 O
-0.8138 -1.8775 6.5388 O
1.2191 -1.6435 4.6262 O
-1.2191 1.6435 6.5388 O
0.8138 1.8775 4.6262 O
3.1000 -2.9953 6.1385 O
2.0329 0.2340 6.5388 O
1.0439 4.1823 6.1385 O
4.1440 1.1871 5.0265 O
```

The 6 most intense peaks (10° ≤ 2θ ≤ 80°), in order of falling intensity:
2θ/deg, I (rel.)
29.95, 100.0
33.09, 54.1
30.57, 42.5
51.10, 31.8
23.91, 25.6
27.00, 22.9